Entry 1:
For Li7Mn2Co3O12, a cell relaxed with PBE+U gives the simulated PXRD pattern in this record (Cu Ka).
Lines closer than 0.1° are merged.

Structure:
```
data_Li7Mn2Co3O12
_cell_length_a 2.9648
_cell_length_b 7.8062
_cell_length_c 10.1573
_cell_angle_alpha 110.68
_cell_angle_beta 91.17
_cell_angle_gamma 98.27
_space_group_name_H-M_alt 'P 1'
_space_group_IT_number 1
_space_group_name_Hall 'P 1'
loop_
_atom_site_label
_atom_site_fract_x
_atom_site_fract_y
_atom_site_fract_z
_atom_site_occupancy
Li1 0.0000 0.0000 0.0000 1
Li2 0.0061 0.0051 0.5160 1
Li3 0.3287 0.6689 0.3448 1
Li4 0.3412 0.6792 0.8425 1
Li5 0.4803 0.9962 0.7667 1
Li6 0.6490 0.3344 0.6854 1
Li7 0.6579 0.3308 0.1730 1
Mn1 0.8328 0.6642 0.0921 1
Mn2 0.8375 0.6804 0.6025 1
Co1 0.1443 0.3204 0.9192 1
Co2 0.1688 0.3343 0.4250 1
Co3 0.5020 0.0009 0.2570 1
O1 0.0695 0.1626 0.2264 1
O2 0.0902 0.1910 0.7379 1
O3 0.2119 0.4923 0.1196 1
O4 0.2750 0.5210 0.6273 1
O5 0.3919 0.8160 0.5572 1
O6 0.4587 0.8375 0.0611 1
O7 0.5455 0.1831 0.9656 1
O8 0.5705 0.1728 0.4616 1
O9 0.7579 0.4972 0.3975 1
O10 0.7723 0.4976 0.8959 1
O11 0.9036 0.8228 0.7893 1
O12 0.9231 0.8331 0.2921 1
```

The 12 most intense peaks (2θ from 15° to 90°), sorted by position:
2theta, intensity
17.95, 5
18.34, 100
34.91, 17
36.32, 25
37.39, 7
41.97, 33
44.04, 28
44.34, 27
62.18, 8
62.72, 24
63.89, 7
64.67, 7

Entry 2:
For Li3MnCoO5, a cell relaxed with PBE+U gives the simulated PXRD pattern in this record (Cu Ka).
Lines closer than 0.1° are merged.

Structure:
```
data_Li3MnCoO5
_cell_length_a 2.8965
_cell_length_b 5.9107
_cell_length_c 10.5825
_cell_angle_alpha 82.30
_cell_angle_beta 82.16
_cell_angle_gamma 89.99
_space_group_name_H-M_alt 'P 1'
_space_group_IT_number 1
_space_group_name_Hall 'P 1'
loop_
_atom_site_label
_atom_site_fract_x
_atom_site_fract_y
_atom_site_fract_z
_atom_site_occupancy
Li1 0.0000 0.0000 0.0000 1
Li2 0.9997 0.4995 0.0000 1
Li3 0.2013 0.5989 0.6027 1
Li4 0.4094 0.2113 0.1807 1
Li5 0.5941 0.7875 0.8192 1
Li6 0.8028 0.4005 0.3969 1
Mn1 0.3979 0.6985 0.1891 1
Mn2 0.5944 0.3009 0.8107 1
Co1 0.2078 0.0970 0.6011 1
Co2 0.8033 0.9022 0.3991 1
O1 0.0987 0.0759 0.7986 1
O2 0.0994 0.5212 0.8000 1
O3 0.2805 0.6694 0.3901 1
O4 0.3305 0.1351 0.4011 1
O5 0.4893 0.7469 0.0152 1
O6 0.5089 0.2529 0.9846 1
O7 0.6756 0.3298 0.6106 1
O8 0.7351 0.8642 0.5988 1
O9 0.8921 0.9235 0.2011 1
O10 0.8931 0.4781 0.2000 1
```

The 12 most intense peaks (2θ from 15° to 90°), sorted by position:
2theta, intensity
15.13, 10
18.37, 100
35.88, 13
36.22, 25
43.57, 29
43.76, 59
47.92, 8
57.58, 14
62.90, 8
63.32, 15
63.60, 15
64.32, 8

Entry 3:
For Li3MnCoO5, a cell relaxed with PBE+U gives the simulated PXRD pattern in this record (Cu Ka).
Lines closer than 0.1° are merged.

Structure:
```
data_Li3MnCoO5
_cell_length_a 3.0348
_cell_length_b 6.0273
_cell_length_c 10.2164
_cell_angle_alpha 97.30
_cell_angle_beta 97.00
_cell_angle_gamma 95.07
_space_group_name_H-M_alt 'P -1'
_space_group_IT_number 2
_space_group_name_Hall '-P 1'
loop_
_atom_site_label
_atom_site_fract_x
_atom_site_fract_y
_atom_site_fract_z
_atom_site_occupancy
Li1 0.0000 0.0000 0.0000 1
Li2 0.0000 0.5000 0.0000 1
Li3 0.1971 0.0981 0.3968 1
Li4 0.4041 0.7070 0.8038 1
Mn1 0.1973 0.6021 0.3968 1
Co1 0.4082 0.1891 0.8094 1
O1 0.0791 0.0302 0.1989 1
O2 0.1269 0.5646 0.2045 1
O3 0.2725 0.6412 0.5926 1
O4 0.3292 0.1606 0.6158 1
O5 0.4859 0.2484 0.9819 1
```

The 12 most intense peaks (2θ from 15° to 90°), sorted by position:
2theta, intensity
16.23, 9
18.37, 100
33.79, 21
36.38, 12
36.89, 13
40.43, 40
44.37, 29
45.15, 27
61.34, 9
61.81, 9
62.05, 8
62.35, 9

Entry 4:
For Li4MnCo2O7, a cell relaxed with PBE+U gives the simulated PXRD pattern in this record (Cu Ka).
Lines closer than 0.1° are merged.

Structure:
```
data_Li4MnCo2O7
_cell_length_a 3.0224
_cell_length_b 5.1155
_cell_length_c 17.1021
_cell_angle_alpha 85.44
_cell_angle_beta 88.40
_cell_angle_gamma 75.56
_space_group_name_H-M_alt 'P 1'
_space_group_IT_number 1
_space_group_name_Hall 'P 1'
loop_
_atom_site_label
_atom_site_fract_x
_atom_site_fract_y
_atom_site_fract_z
_atom_site_occupancy
Li1 0.0000 0.0000 0.0000 1
Li2 0.0037 0.9990 0.4978 1
Li3 0.1482 0.7179 0.7876 1
Li4 0.2863 0.4223 0.0716 1
Li5 0.4275 0.1436 0.3563 1
Li6 0.5709 0.8563 0.6417 1
Li7 0.7131 0.5781 0.9273 1
Li8 0.8504 0.2832 0.2126 1
Mn1 0.2761 0.4301 0.5700 1
Mn2 0.8608 0.2847 0.7166 1
Co1 0.1411 0.7157 0.2824 1
Co2 0.4412 0.1375 0.8644 1
Co3 0.5690 0.8630 0.1365 1
Co4 0.7079 0.5721 0.4249 1
O1 0.0851 0.8406 0.3866 1
O2 0.0914 0.8844 0.8906 1
O3 0.1883 0.5608 0.6758 1
O4 0.2383 0.5924 0.1804 1
O5 0.3294 0.3062 0.4645 1
O6 0.3559 0.2829 0.9539 1
O7 0.5195 0.0198 0.7578 1
O8 0.5214 0.9758 0.2425 1
O9 0.6089 0.7023 0.5297 1
O10 0.6441 0.7179 0.0468 1
O11 0.7705 0.4091 0.8206 1
O12 0.7727 0.4443 0.3222 1
O13 0.9169 0.1163 0.1096 1
O14 0.9547 0.1550 0.6106 1
```

The 12 most intense peaks (2θ from 15° to 90°), sorted by position:
2theta, intensity
18.32, 100
34.35, 19
36.01, 13
36.91, 10
37.10, 8
41.24, 35
43.75, 29
45.05, 25
61.46, 9
61.92, 9
62.58, 8
62.86, 8

Entry 5:
For Li7Mn2Co3O12, a cell relaxed with PBE+U gives the simulated PXRD pattern in this record (Cu Ka).
Lines closer than 0.1° are merged.

Structure:
```
data_Li7Mn2Co3O12
_cell_length_a 5.0290
_cell_length_b 5.8629
_cell_length_c 7.7574
_cell_angle_alpha 78.55
_cell_angle_beta 77.58
_cell_angle_gamma 73.10
_space_group_name_H-M_alt 'P 1'
_space_group_IT_number 1
_space_group_name_Hall 'P 1'
loop_
_atom_site_label
_atom_site_fract_x
_atom_site_fract_y
_atom_site_fract_z
_atom_site_occupancy
Li1 0.0000 0.0000 0.0000 1
Li2 0.0045 0.3327 0.6571 1
Li3 0.4872 0.8413 0.1725 1
Li4 0.4938 0.1661 0.8264 1
Li5 0.5058 0.4994 0.4975 1
Li6 0.9913 0.6767 0.3350 1
Li7 0.9954 0.1681 0.3344 1
Mn1 0.4975 0.3298 0.1707 1
Mn2 0.9967 0.4993 0.0022 1
Co1 0.4972 0.0049 0.4950 1
Co2 0.4983 0.6713 0.8269 1
Co3 0.9958 0.8410 0.6602 1
O1 0.2184 0.5104 0.7641 1
O2 0.2388 0.6432 0.0882 1
O3 0.2515 0.1946 0.0802 1
O4 0.2585 0.0028 0.7255 1
O5 0.2615 0.8488 0.4294 1
O6 0.2813 0.3173 0.4070 1
O7 0.7154 0.0199 0.2579 1
O8 0.7343 0.1468 0.5788 1
O9 0.7382 0.6960 0.5721 1
O10 0.7429 0.4939 0.2291 1
O11 0.7511 0.3396 0.9363 1
O12 0.7735 0.8146 0.9156 1
```

The 12 most intense peaks (2θ from 15° to 90°), sorted by position:
2theta, intensity
18.46, 100
36.08, 14
36.25, 26
43.69, 28
43.82, 28
43.99, 28
57.71, 10
63.26, 8
63.47, 8
63.61, 7
63.91, 15
64.21, 7

Entry 6:
For Li4Mn3CoO8, a cell relaxed with PBE+U gives the simulated PXRD pattern in this record (Cu Ka).
Lines closer than 0.1° are merged.

Structure:
```
data_Li4Mn3CoO8
_cell_length_a 5.0587
_cell_length_b 5.0960
_cell_length_c 6.1445
_cell_angle_alpha 92.23
_cell_angle_beta 93.65
_cell_angle_gamma 106.09
_space_group_name_H-M_alt 'P -1'
_space_group_IT_number 2
_space_group_name_Hall '-P 1'
loop_
_atom_site_label
_atom_site_fract_x
_atom_site_fract_y
_atom_site_fract_z
_atom_site_occupancy
Li1 0.0000 0.0000 0.0000 1
Li2 0.0000 0.0000 0.5000 1
Li3 0.4914 0.9980 0.2514 1
Mn1 0.0023 0.5080 0.7493 1
Mn2 0.5000 0.5000 0.0000 1
Co1 0.5000 0.5000 0.5000 1
O1 0.2366 0.2574 0.2544 1
O2 0.2517 0.7321 0.9879 1
O3 0.2531 0.7262 0.4854 1
O4 0.2601 0.2818 0.7505 1
```

The 12 most intense peaks (2θ from 15° to 90°), sorted by position:
2theta, intensity
18.15, 100
33.39, 21
35.90, 13
36.48, 16
37.09, 9
39.97, 35
43.71, 26
44.68, 24
60.50, 8
60.92, 8
61.31, 8
64.90, 10

Entry 7:
For Li7Mn2Co3O12, a cell relaxed with PBE+U gives the simulated PXRD pattern in this record (Cu Ka).
Lines closer than 0.1° are merged.

Structure:
```
data_Li7Mn2Co3O12
_cell_length_a 5.1762
_cell_length_b 2.8873
_cell_length_c 14.4710
_cell_angle_alpha 90.00
_cell_angle_beta 90.64
_cell_angle_gamma 90.00
_space_group_name_H-M_alt 'P 1 m 1'
_space_group_IT_number 6
_space_group_name_Hall 'P -2y'
loop_
_atom_site_label
_atom_site_fract_x
_atom_site_fract_y
_atom_site_fract_z
_atom_site_occupancy
Li1 0.0000 0.0000 0.0000 1
Li2 0.0043 0.0000 0.4911 1
Li3 0.1721 0.5000 0.3288 1
Li4 0.3268 0.0000 0.1605 1
Li5 0.4816 0.5000 0.9991 1
Li6 0.6635 0.0000 0.8408 1
Li7 0.8307 0.5000 0.6697 1
Mn1 0.3196 0.0000 0.6662 1
Mn2 0.8424 0.5000 0.1600 1
Co1 0.1440 0.5000 0.8457 1
Co2 0.5014 0.5000 0.4968 1
Co3 0.6721 0.0000 0.3319 1
O1 0.0320 0.0000 0.7470 1
O2 0.1351 0.5000 0.0905 1
O3 0.1681 0.5000 0.5912 1
O4 0.3293 0.0000 0.9097 1
O5 0.3593 0.0000 0.4186 1
O6 0.4740 0.5000 0.7367 1
O7 0.5289 0.5000 0.2501 1
O8 0.6202 0.0000 0.5808 1
O9 0.6807 0.0000 0.0919 1
O10 0.8342 0.5000 0.4114 1
O11 0.8506 0.5000 0.9073 1
O12 0.9787 0.0000 0.2416 1
```

The 12 most intense peaks (2θ from 15° to 90°), sorted by position:
2theta, intensity
18.27, 100
35.36, 13
36.26, 25
37.72, 6
42.73, 28
43.88, 56
47.55, 12
57.69, 9
62.74, 15
63.07, 21
64.55, 7
80.55, 6

Entry 8:
For Li4MnCo3O8, a cell relaxed with PBE+U gives the simulated PXRD pattern in this record (Cu Ka).
Lines closer than 0.1° are merged.

Structure:
```
data_Li4MnCo3O8
_cell_length_a 10.2417
_cell_length_b 5.9270
_cell_length_c 5.0477
_cell_angle_alpha 90.00
_cell_angle_beta 108.68
_cell_angle_gamma 90.00
_space_group_name_H-M_alt 'C 1 2/m 1'
_space_group_IT_number 12
_space_group_name_Hall '-C 2y'
loop_
_atom_site_label
_atom_site_fract_x
_atom_site_fract_y
_atom_site_fract_z
_atom_site_occupancy
Li1 0.2492 0.0000 0.4963 1
Li2 0.2500 0.2500 0.0000 1
Mn1 0.0000 0.0000 0.0000 1
Co1 0.0000 0.2530 0.5000 1
Co2 0.0000 0.5000 0.0000 1
O1 0.1143 0.2370 0.2358 1
O2 0.1140 0.5000 0.7494 1
O3 0.1148 0.0000 0.7590 1
```

The 12 most intense peaks (2θ from 15° to 90°), sorted by position:
2theta, intensity
18.29, 100
35.64, 30
36.18, 14
37.35, 10
43.17, 53
43.84, 25
47.46, 15
56.97, 12
62.70, 14
62.83, 14
63.59, 14
79.63, 6

Entry 9:
For Li6Mn3CoO10, a cell relaxed with PBE+U gives the simulated PXRD pattern in this record (Cu Ka).
Lines closer than 0.1° are merged.

Structure:
```
data_Li6Mn3CoO10
_cell_length_a 2.9408
_cell_length_b 6.4576
_cell_length_c 9.8330
_cell_angle_alpha 99.86
_cell_angle_beta 92.66
_cell_angle_gamma 102.91
_space_group_name_H-M_alt 'P 1'
_space_group_IT_number 1
_space_group_name_Hall 'P 1'
loop_
_atom_site_label
_atom_site_fract_x
_atom_site_fract_y
_atom_site_fract_z
_atom_site_occupancy
Li1 0.0000 0.0000 0.0000 1
Li2 0.1037 0.1918 0.2898 1
Li3 0.3170 0.6171 0.8978 1
Li4 0.4999 0.0036 0.5019 1
Li5 0.6855 0.3824 0.1033 1
Li6 0.8888 0.7996 0.7106 1
Mn1 0.4146 0.8059 0.1938 1
Mn2 0.5859 0.1938 0.8061 1
Mn3 0.8015 0.5923 0.4005 1
Co1 0.1897 0.4025 0.6045 1
O1 0.0371 0.1225 0.6648 1
O2 0.1525 0.2913 0.9310 1
O3 0.2989 0.5124 0.2533 1
O4 0.3093 0.6848 0.5459 1
O5 0.4622 0.9195 0.8435 1
O6 0.5363 0.0803 0.1572 1
O7 0.6845 0.3083 0.4625 1
O8 0.7000 0.4826 0.7449 1
O9 0.8485 0.7092 0.0688 1
O10 0.9671 0.8791 0.3358 1
```

The 12 most intense peaks (2θ from 15° to 90°), sorted by position:
2theta, intensity
18.42, 100
35.08, 14
36.35, 12
36.54, 13
42.23, 32
44.23, 27
44.46, 26
62.30, 8
62.62, 8
63.33, 15
64.10, 7
64.95, 9

Entry 10:
For Li2MnCo3O8, a cell relaxed with PBE+U gives the simulated PXRD pattern in this record (Cu Ka).
Lines closer than 0.1° are merged.

Structure:
```
data_Li2MnCo3O8
_cell_length_a 5.8181
_cell_length_b 5.8181
_cell_length_c 14.2081
_cell_angle_alpha 90.00
_cell_angle_beta 90.00
_cell_angle_gamma 120.00
_space_group_name_H-M_alt 'R -3 m'
_space_group_IT_number 166
_space_group_name_Hall '-R 3 2"'
loop_
_atom_site_label
_atom_site_fract_x
_atom_site_fract_y
_atom_site_fract_z
_atom_site_occupancy
Li1 0.0000 0.0000 0.1253 1
Mn1 0.0000 0.0000 0.5000 1
Co1 0.0000 0.5000 0.0000 1
O1 0.0000 0.0000 0.2619 1
O2 0.0373 0.5187 0.2530 1
```

The 12 most intense peaks (2θ from 15° to 90°), sorted by position:
2theta, intensity
18.70, 100
36.24, 47
37.89, 10
44.07, 54
48.24, 8
58.33, 19
64.01, 16
64.16, 16
67.34, 7
67.47, 7
76.90, 5
80.99, 6

Copy entry 4 word for word.
For Li4MnCo2O7, a cell relaxed with PBE+U gives the simulated PXRD pattern in this record (Cu Ka).
Lines closer than 0.1° are merged.

Structure:
```
data_Li4MnCo2O7
_cell_length_a 3.0224
_cell_length_b 5.1155
_cell_length_c 17.1021
_cell_angle_alpha 85.44
_cell_angle_beta 88.40
_cell_angle_gamma 75.56
_space_group_name_H-M_alt 'P 1'
_space_group_IT_number 1
_space_group_name_Hall 'P 1'
loop_
_atom_site_label
_atom_site_fract_x
_atom_site_fract_y
_atom_site_fract_z
_atom_site_occupancy
Li1 0.0000 0.0000 0.0000 1
Li2 0.0037 0.9990 0.4978 1
Li3 0.1482 0.7179 0.7876 1
Li4 0.2863 0.4223 0.0716 1
Li5 0.4275 0.1436 0.3563 1
Li6 0.5709 0.8563 0.6417 1
Li7 0.7131 0.5781 0.9273 1
Li8 0.8504 0.2832 0.2126 1
Mn1 0.2761 0.4301 0.5700 1
Mn2 0.8608 0.2847 0.7166 1
Co1 0.1411 0.7157 0.2824 1
Co2 0.4412 0.1375 0.8644 1
Co3 0.5690 0.8630 0.1365 1
Co4 0.7079 0.5721 0.4249 1
O1 0.0851 0.8406 0.3866 1
O2 0.0914 0.8844 0.8906 1
O3 0.1883 0.5608 0.6758 1
O4 0.2383 0.5924 0.1804 1
O5 0.3294 0.3062 0.4645 1
O6 0.3559 0.2829 0.9539 1
O7 0.5195 0.0198 0.7578 1
O8 0.5214 0.9758 0.2425 1
O9 0.6089 0.7023 0.5297 1
O10 0.6441 0.7179 0.0468 1
O11 0.7705 0.4091 0.8206 1
O12 0.7727 0.4443 0.3222 1
O13 0.9169 0.1163 0.1096 1
O14 0.9547 0.1550 0.6106 1
```

The 12 most intense peaks (2θ from 15° to 90°), sorted by position:
2theta, intensity
18.32, 100
34.35, 19
36.01, 13
36.91, 10
37.10, 8
41.24, 35
43.75, 29
45.05, 25
61.46, 9
61.92, 9
62.58, 8
62.86, 8